No. 1
Computed PXRD pattern
Compound: AlHO2
Radiation: Cu Kα
Structure: DFT lattice parameters and positions (PBE)
Peak positions follow from Bragg's law for the DFT cell and can differ from measured ones.

The 12 most intense peaks (5° ≤ 2θ ≤ 70°), in order of falling intensity:
d = 6.230 Å, I 100
d = 3.220 Å, I 51
d = 1.881 Å, I 22
d = 2.328 Å, I 22
d = 1.941 Å, I 20
d = 2.440 Å, I 15
d = 1.847 Å, I 14
d = 1.351 Å, I 10
d = 1.463 Å, I 8
d = 1.454 Å, I 8
d = 1.658 Å, I 7
d = 1.436 Å, I 7

Cell and atoms:
```
AlHO2
1.0
2.9115 0.0000 0.0000
0.0000 3.7615 0.0000
-1.1424 0.0000 6.2298
Al H O
2 2 4
direct
0.1975 0.2500 0.3670 Al
0.8025 0.7500 0.6330 Al
0.4461 0.7500 0.9844 H
0.5539 0.2500 0.0156 H
0.2214 0.7500 0.4258 O
0.3789 0.7500 0.8276 O
0.6211 0.2500 0.1724 O
0.7786 0.2500 0.5742 O
```


No. 2
Computed PXRD pattern
Compound: Th2P2O9
Radiation: Cu Kα
Structure: DFT lattice parameters and positions (PBE)
Peak positions follow from Bragg's law for the DFT cell and can differ from measured ones.

The 12 most intense peaks (5° ≤ 2θ ≤ 70°), in order of falling intensity:
d = 4.295 Å, I 100
d = 2.826 Å, I 71
d = 3.633 Å, I 67
d = 6.499 Å, I 61
d = 4.643 Å, I 55
d = 1.782 Å, I 35
d = 3.169 Å, I 35
d = 1.901 Å, I 32
d = 2.205 Å, I 30
d = 4.372 Å, I 26
d = 3.778 Å, I 24
d = 2.782 Å, I 24

Cell and atoms:
```
Th2P2O9
1.0
3.6332 -4.6426 0.0000
3.6332 4.6426 0.0000
0.0000 0.0000 12.9990
Th P O
4 4 18
direct
0.2072 0.7928 0.9271 Th
0.2928 0.7072 0.4271 Th
0.7072 0.2928 0.5729 Th
0.7928 0.2072 0.0729 Th
0.1112 0.8888 0.6404 P
0.3888 0.6112 0.1404 P
0.6112 0.3888 0.8596 P
0.8888 0.1112 0.3596 P
0.0000 0.0000 0.0000 O
0.0165 0.6489 0.5840 O
0.0521 0.9479 0.3770 O
0.1464 0.8536 0.7554 O
0.1489 0.5165 0.0840 O
0.3511 0.9835 0.5840 O
0.3536 0.6464 0.2554 O
0.4479 0.5521 0.8770 O
0.4835 0.8511 0.0840 O
0.5000 0.5000 0.5000 O
0.5165 0.1489 0.9160 O
0.5521 0.4479 0.1230 O
0.6464 0.3536 0.7446 O
0.6489 0.0165 0.4160 O
0.8511 0.4835 0.9160 O
0.8536 0.1464 0.2446 O
0.9479 0.0521 0.6230 O
0.9835 0.3511 0.4160 O
```


No. 3
Computed PXRD pattern
Compound: Na2Pr2MgTi2O8
Radiation: Cu Kα
Structure: DFT lattice parameters and positions (PBE)
Peak positions follow from Bragg's law for the DFT cell and can differ from measured ones.

The 12 most intense peaks (5° ≤ 2θ ≤ 70°), in order of falling intensity:
d = 16.337 Å, I 100
d = 2.607 Å, I 24
d = 3.247 Å, I 20
d = 2.857 Å, I 18
d = 3.175 Å, I 15
d = 8.168 Å, I 15
d = 2.931 Å, I 15
d = 1.843 Å, I 12
d = 4.084 Å, I 7
d = 2.334 Å, I 6
d = 3.464 Å, I 5
d = 2.037 Å, I 5

Cell and atoms:
```
Na2Pr2MgTi2O8
1.0
2.6096 -2.6054 0.0000
2.6096 2.6054 0.0000
-2.0006 0.0000 16.3366
Na Pr Mg Ti O
2 2 1 2 8
direct
0.0000 0.0000 0.0000 Na
0.5497 0.5497 0.1282 Na
0.2274 0.2274 0.5649 Pr
0.6505 0.6505 0.3889 Pr
0.9119 0.9119 0.7711 Mg
0.0978 0.0978 0.2506 Ti
0.4528 0.4528 0.8758 Ti
0.0568 0.0568 0.1416 O
0.1118 0.6111 0.2854 O
0.1596 0.1596 0.4239 O
0.4385 0.9382 0.8380 O
0.4944 0.4944 0.9847 O
0.6111 0.1118 0.2854 O
0.6985 0.6985 0.5354 O
0.9382 0.4385 0.8380 O
```